1.
For Pm4Y7In, a cell relaxed with GGA-PBE gives the calculated X-ray diffraction stick pattern in this record (Cu Kα, 1.54184 Å).
Neutral-atom scattering factors, no anomalous dispersion.

Peak list (10 most intense, 2θ from 15° to 90°, sorted by position)
2θ (°)  d (Å)  I (rel.)
20.76  4.279  23.8
28.92  3.088  70.4
30.09  2.970  100.0
30.57  2.925  37.3
30.84  2.899  40.9
31.55  2.835  76.3
32.39  2.764  64.3
33.51  2.674  64.1
43.42  2.084  28.9
43.63  2.075  31.1

Atomic structure:
Cell lengths 8.6382, 8.6382, 9.3297 Å; angles 114.55, 114.55, 40.22 degrees
Fractional positions:
Pm 0.0986 0.0986 0.4853
Pm 0.2312 0.2312 0.2739
Pm 0.7688 0.7688 0.7261
Pm 0.9014 0.9014 0.5147
Y 0.0000 0.0000 0.0000
Y 0.2160 0.2160 0.8965
Y 0.3404 0.3404 0.6669
Y 0.4352 0.4352 0.2756
Y 0.5648 0.5648 0.7244
Y 0.6596 0.6596 0.3331
Y 0.7840 0.7840 0.1035
In 0.5000 0.5000 0.0000

=====

2.
For Pm4Y9In11, a cell relaxed with GGA-PBE gives the calculated X-ray diffraction stick pattern in this record (Cu Kα, 1.54184 Å).
Neutral-atom scattering factors, no anomalous dispersion.

Peak list (10 most intense, 2θ from 15° to 90°, sorted by position)
2θ (°)  d (Å)  I (rel.)
31.47  2.843  31.1
31.91  2.805  56.4
32.37  2.766  63.3
33.76  2.655  99.4
33.91  2.643  85.6
34.35  2.611  100.0
38.14  2.359  45.8
52.17  1.753  42.7
58.18  1.586  46.9
61.45  1.509  42.4

Atomic structure:
Cell lengths 14.2271, 14.2271, 3.5048 Å; angles 90.00, 90.00, 111.06 degrees
Fractional positions:
Pm 0.0935 0.2565 0.0000
Pm 0.2565 0.0935 0.0000
Pm 0.7435 0.9065 0.0000
Pm 0.9065 0.7435 0.0000
Y 0.0000 0.0000 0.0000
Y 0.1116 0.6656 0.0000
Y 0.2968 0.4906 0.0000
Y 0.3344 0.8884 0.0000
Y 0.4906 0.2968 0.0000
Y 0.5094 0.7032 0.0000
Y 0.6656 0.1116 0.0000
Y 0.7032 0.5094 0.0000
Y 0.8884 0.3344 0.0000
In 0.0905 0.4597 0.5000
In 0.1212 0.8788 0.5000
In 0.3008 0.3008 0.5000
In 0.3110 0.6890 0.5000
In 0.4597 0.0905 0.5000
In 0.5000 0.5000 0.5000
In 0.5403 0.9095 0.5000
In 0.6890 0.3110 0.5000
In 0.6992 0.6992 0.5000
In 0.8788 0.1212 0.5000
In 0.9095 0.5403 0.5000

=====

3.
For Pm5YIn3, a cell relaxed with GGA-PBE gives the calculated X-ray diffraction stick pattern in this record (Cu Kα, 1.54184 Å).
Neutral-atom scattering factors, no anomalous dispersion.

Peak list (10 most intense, 2θ from 15° to 90°, sorted by position)
2θ (°)  d (Å)  I (rel.)
32.07  2.791  92.0
32.53  2.752  100.0
42.03  2.150  11.6
46.33  1.960  32.7
57.75  1.596  33.4
58.04  1.589  18.6
63.78  1.459  28.3
68.14  1.376  11.3
77.31  1.234  13.9
82.65  1.167  13.5

Atomic structure:
Cell lengths 9.5346, 9.5346, 6.8838 Å; angles 90.00, 90.00, 120.00 degrees
Fractional positions:
Pm 0.0000 0.3394 0.2500
Pm 0.0000 0.6606 0.7500
Pm 0.3333 0.6667 0.0000
Pm 0.3333 0.6667 0.5000
Pm 0.3394 0.0000 0.2500
Pm 0.3394 0.3394 0.7500
Pm 0.6606 0.0000 0.7500
Pm 0.6606 0.6606 0.2500
Pm 0.6667 0.3333 0.0000
Pm 0.6667 0.3333 0.5000
Y 0.0000 0.0000 0.0000
Y 0.0000 0.0000 0.5000
In 0.0000 0.3244 0.7500
In 0.0000 0.6756 0.2500
In 0.3244 0.0000 0.7500
In 0.3244 0.3244 0.2500
In 0.6756 0.0000 0.2500
In 0.6756 0.6756 0.7500

=====

4.
For Pm2YIn3, a cell relaxed with GGA-PBE gives the calculated X-ray diffraction stick pattern in this record (Cu Kα, 1.54184 Å).
Neutral-atom scattering factors, no anomalous dispersion.

Peak list (10 most intense, 2θ from 15° to 90°, sorted by position)
2θ (°)  d (Å)  I (rel.)
33.09  2.708  100.0
33.31  2.690  49.5
47.16  1.927  8.9
47.82  1.902  17.7
58.96  1.567  18.1
59.38  1.556  36.3
69.43  1.354  11.0
78.59  1.217  7.4
79.58  1.205  7.7
79.71  1.203  7.7

Atomic structure:
Cell lengths 3.8042, 3.8042, 11.5631 Å; angles 90.00, 90.00, 90.00 degrees
Fractional positions:
Pm 0.0000 0.0000 0.1702
Pm 0.0000 0.0000 0.8298
Y 0.0000 0.0000 0.5000
In 0.5000 0.5000 0.0000
In 0.5000 0.5000 0.3410
In 0.5000 0.5000 0.6590

=====

5.
For Pm5YIn2, a cell relaxed with GGA-PBE gives the calculated X-ray diffraction stick pattern in this record (Cu Kα, 1.54184 Å).
Neutral-atom scattering factors, no anomalous dispersion.

Peak list (10 most intense, 2θ from 15° to 90°, sorted by position)
2θ (°)  d (Å)  I (rel.)
30.20  2.960  80.1
32.55  2.751  100.0
32.65  2.743  43.1
32.98  2.716  92.0
34.66  2.588  33.9
46.77  1.942  42.3
57.12  1.613  20.9
60.04  1.541  35.8
60.80  1.523  21.8
61.02  1.518  30.9

Atomic structure:
Cell lengths 8.5172, 8.5172, 8.5172 Å; angles 155.17, 99.81, 85.53 degrees
Fractional positions:
Pm 0.0000 0.0000 0.0000
Pm 0.0807 0.3612 0.7196
Pm 0.3584 0.6388 0.7196
Pm 0.6416 0.3612 0.2804
Pm 0.9193 0.6388 0.2804
Y 0.5000 0.0000 0.5000
In 0.2755 0.2755 0.0000
In 0.7245 0.7245 0.0000

=====

6.
For Pm4YIn3, a cell relaxed with GGA-PBE gives the calculated X-ray diffraction stick pattern in this record (Cu Kα, 1.54184 Å).
Neutral-atom scattering factors, no anomalous dispersion.

Peak list (10 most intense, 2θ from 15° to 90°, sorted by position)
2θ (°)  d (Å)  I (rel.)
30.73  2.909  29.8
31.04  2.881  23.9
31.83  2.811  44.2
33.76  2.655  100.0
34.04  2.633  24.8
38.34  2.348  16.4
38.59  2.333  13.2
53.03  1.727  17.8
57.95  1.591  20.8
63.19  1.471  20.8

Atomic structure:
Cell lengths 11.2460, 6.9807, 5.9609 Å; angles 90.00, 90.00, 90.00 degrees
Fractional positions:
Pm 0.0000 0.2466 0.0000
Pm 0.0000 0.7534 0.0000
Pm 0.2500 0.2405 0.3664
Pm 0.2500 0.7595 0.3664
Pm 0.5000 0.2466 0.0000
Pm 0.5000 0.7534 0.0000
Pm 0.7500 0.2405 0.6336
Pm 0.7500 0.7595 0.6336
Y 0.0000 0.5000 0.5000
Y 0.5000 0.5000 0.5000
In 0.0000 0.0000 0.5000
In 0.2500 0.0000 0.8564
In 0.2500 0.5000 0.8502
In 0.5000 0.0000 0.5000
In 0.7500 0.0000 0.1436
In 0.7500 0.5000 0.1498